The following is a computed PXRD pattern of Sm3GaNi2. It was derived from a cell relaxed with PBE, using Cu Kα (weighted mean of Kα1 and Kα2).

Structural model:
abc: 5.585 11.570 9.121
angles: 90.00 110.55 90.00
Space group P2_1/c (No. 14)
One atom of each set of equivalent atoms:
Sm1 0.153 0.232 0.311
Sm2 0.242 0.596 0.000
Sm3 0.303 0.556 0.610
Ga1 0.435 0.690 0.347
Ni1 0.158 0.502 0.280
Ni2 0.313 0.132 0.609

Most intense lines, 2θ = 10–80°, by angle:
- hkl 1 2 -2, d = 3.336 Å, intensity 38.5
- hkl 1 3 0, d = 3.104 Å, intensity 100.0
- hkl 1 1 2, d = 2.768 Å, intensity 82.5
- hkl 2 0 -2, d = 2.689 Å, intensity 35.2
- hkl 1 2 -3, d = 2.647 Å, intensity 29.7
- hkl 2 0 0, d = 2.617 Å, intensity 57.6
- hkl 1 2 2, d = 2.557 Å, intensity 27.6
- hkl 0 4 2, d = 2.395 Å, intensity 33.8
- hkl 1 0 -4, d = 2.276 Å, intensity 32.3
- hkl 2 3 -1, d = 2.260 Å, intensity 42.5